Starting from DFT lattice parameters and positions (GGA+U), the X-ray diffraction stick pattern of Pu2CoCuO8 was calculated for Cu Kα (λ = 1.5418 Å).

Atomic structure:
a b c (Å): 4.6245 4.6245 6.9320
angles (deg): 90.00 90.00 90.56
Positions (direct):
Pu1 0.0000 0.0000 0.2505
Pu2 0.0000 0.0000 0.7495
Co1 0.5000 0.5000 0.0000
Cu1 0.5000 0.5000 0.5000
O1 0.1990 0.1990 0.0000
O2 0.2001 0.2001 0.5000
O3 0.2931 0.7069 0.2448
O4 0.2931 0.7069 0.7552
O5 0.7069 0.2931 0.2448
O6 0.7069 0.2931 0.7552
O7 0.7999 0.7999 0.5000
O8 0.8010 0.8010 0.0000

The 10 most intense peaks (10° ≤ 2θ ≤ 90°), in order of rising 2θ:
2theta	I/Imax
19.19	63
25.70	16
27.14	46
27.41	46
32.28	100
37.93	21
38.95	23
51.30	34
51.62	34
66.37	19